Record 1
This entry pairs a crystal structure of SrHg3 with its computed X-ray powder pattern. Radiation: Cu Kα, 1.54184 Å. Structure: the PBE geometry in the Materials Project.
Intensities are scaled so that the largest is 1000.

a = 6.7906 Å, b = 9.9312 Å, c = 6.8670 Å
α = 90.00°, β = 90.00°, γ = 90.00°
Atoms (fractional coordinates):
Sr  0.0089  0.2500  0.0331
Sr  0.4911  0.7500  0.5331
Sr  0.5089  0.2500  0.4669
Sr  0.9911  0.7500  0.9669
Hg  0.0130  0.2500  0.5284
Hg  0.2324  0.5098  0.2696
Hg  0.2324  0.9902  0.2696
Hg  0.2676  0.0098  0.7696
Hg  0.2676  0.4902  0.7696
Hg  0.4870  0.7500  0.0284
Hg  0.5130  0.2500  0.9716
Hg  0.7324  0.5098  0.2304
Hg  0.7324  0.9902  0.2304
Hg  0.7676  0.0098  0.7304
Hg  0.7676  0.4902  0.7304
Hg  0.9870  0.7500  0.4716

Top 8 peaks for 10° ≤ 2θ ≤ 90°, in order of rising 2θ:
2θ/deg  intensity
31.68  963
31.93  1000
36.18  364
37.24  610
52.90  434
62.42  166
63.55  192
63.99  231

=====

Record 2
This entry pairs a crystal structure of SrHg11 with its computed X-ray powder pattern. Radiation: Cu Kα, 1.54184 Å. Structure: the PBE geometry in the Materials Project.
Intensities are scaled so that the largest is 1000.

a = 10.1427 Å, b = 10.1427 Å, c = 10.1427 Å
α = 90.00°, β = 90.00°, γ = 90.00°
Atoms (fractional coordinates):
Sr  0.0000  0.0000  0.5000
Sr  0.0000  0.5000  0.0000
Sr  0.5000  0.0000  0.0000
Hg  0.0000  0.3416  0.3416
Hg  0.0000  0.3416  0.6584
Hg  0.0000  0.6584  0.3416
Hg  0.0000  0.6584  0.6584
Hg  0.1527  0.1527  0.1527
Hg  0.1527  0.1527  0.8473
Hg  0.1527  0.8473  0.1527
Hg  0.1527  0.8473  0.8473
Hg  0.2623  0.2623  0.5000
Hg  0.2623  0.5000  0.2623
Hg  0.2623  0.5000  0.7377
Hg  0.2623  0.7377  0.5000
Hg  0.3416  0.0000  0.3416
Hg  0.3416  0.0000  0.6584
Hg  0.3416  0.3416  0.0000
Hg  0.3416  0.6584  0.0000
Hg  0.5000  0.2623  0.2623
Hg  0.5000  0.2623  0.7377
Hg  0.5000  0.5000  0.5000
Hg  0.5000  0.7377  0.2623
Hg  0.5000  0.7377  0.7377
Hg  0.6584  0.0000  0.3416
Hg  0.6584  0.0000  0.6584
Hg  0.6584  0.3416  0.0000
Hg  0.6584  0.6584  0.0000
Hg  0.7377  0.2623  0.5000
Hg  0.7377  0.5000  0.2623
Hg  0.7377  0.5000  0.7377
Hg  0.7377  0.7377  0.5000
Hg  0.8473  0.1527  0.1527
Hg  0.8473  0.1527  0.8473
Hg  0.8473  0.8473  0.1527
Hg  0.8473  0.8473  0.8473

Top 8 peaks for 10° ≤ 2θ ≤ 90°, in order of rising 2θ:
2θ/deg  intensity
29.20  469
30.53  556
31.81  278
36.53  1000
37.63  689
40.77  387
58.25  385
67.91  324

=====

Record 3
This entry pairs a crystal structure of SrHg3 with its computed X-ray powder pattern. Radiation: Cu Kα, 1.54184 Å. Structure: the PBE geometry in the Materials Project.
Intensities are scaled so that the largest is 1000.

a = 5.5140 Å, b = 7.0563 Å, c = 5.8307 Å
α = 90.00°, β = 90.00°, γ = 90.00°
Atoms (fractional coordinates):
Sr  0.2500  0.2500  0.1548
Sr  0.7500  0.7500  0.8452
Hg  0.2500  0.5042  0.6632
Hg  0.2500  0.7500  0.1911
Hg  0.2500  0.9958  0.6632
Hg  0.7500  0.0042  0.3368
Hg  0.7500  0.2500  0.8089
Hg  0.7500  0.4958  0.3368

Top 8 peaks for 10° ≤ 2θ ≤ 90°, in order of rising 2θ:
2θ/deg  intensity
29.59  212
32.48  366
33.85  1000
34.81  421
53.85  166
58.82  209
63.95  155
64.31  197